# Tl2As2Au3
Simulated X-ray powder pattern, λ = 1.5418 Å (Cu Kα). Input: DFT lattice parameters and positions (PBE).

Crystal structure
```
data_Tl2As2Au3
_chemical_formula_sum 'Tl4 As4 Au6'
_cell_length_a 3.722
_cell_length_b 28.848
_cell_length_c 3.029
_cell_angle_alpha 90.00
_cell_angle_beta 90.00
_cell_angle_gamma 90.00
_space_group_name_H-M_alt 'C m m m'
_space_group_IT_number 65
_space_group_name_Hall '-C 2 2'
loop_
_atom_site_label
_atom_site_type_symbol
_atom_site_fract_x
_atom_site_fract_y
_atom_site_fract_z
Tl1 Tl 0.000 0.127 0.000
As1 As 0.000 0.279 0.500
Au1 Au 0.000 0.000 0.000
Au2 Au 0.000 0.443 0.500
```

Principal peaks in the range 15 to 90 degrees two-theta, low angle first:
Position (°2θ), intensity, hkl
32.4, 96, 1 7 0
37.0, 34, 1 9 0
38.4, 100, 1 1 1
38.8, 58, 0 8 1
48.9, 22, 2 0 0
64.2, 27, 2 8 1